Starting from a cell relaxed with PBE, the powder diffractogram of La3Dy8Th3 was simulated for copper Kα.
Peak positions follow from Bragg's law for the DFT cell and can differ from measured ones.

Principal peaks in the range 2θ from 10° to 80°, in order of rising 2θ:
2θ = 22.44°, d = 3.961 Å, intensity 17
2θ = 29.25°, d = 3.053 Å, intensity 40
2θ = 29.88°, d = 2.990 Å, intensity 91
2θ = 31.72°, d = 2.821 Å, intensity 86
2θ = 31.87°, d = 2.808 Å, intensity 100
2θ = 33.58°, d = 2.669 Å, intensity 29
2θ = 50.27°, d = 1.815 Å, intensity 21
2θ = 56.60°, d = 1.626 Å, intensity 20
2θ = 60.67°, d = 1.526 Å, intensity 22
2θ = 61.27°, d = 1.513 Å, intensity 40

Structure:
a b c (Å): 9.572 9.572 9.572
angles (deg): 145.72 98.95 91.04
Element x y z (fractional)
La  0.000  0.000  0.000
La  0.283  0.000  0.283
La  0.717  0.000  0.717
Dy  0.018  0.383  0.635
Dy  0.117  0.256  0.861
Dy  0.253  0.617  0.635
Dy  0.396  0.256  0.139
Dy  0.604  0.744  0.861
Dy  0.747  0.383  0.365
Dy  0.883  0.744  0.139
Dy  0.982  0.617  0.365
Th  0.347  0.847  0.500
Th  0.500  0.500  0.000
Th  0.653  0.153  0.500

=====

Starting from a cell relaxed with PBE, the powder diffractogram of Ba4NaIn2Hg was simulated for copper Kα.
Peak positions follow from Bragg's law for the DFT cell and can differ from measured ones.

Principal peaks in the range 2θ from 10° to 80°, in order of rising 2θ:
2θ = 17.08°, d = 5.193 Å, intensity 7
2θ = 29.31°, d = 3.047 Å, intensity 100
2θ = 30.71°, d = 2.912 Å, intensity 3
2θ = 40.17°, d = 2.245 Å, intensity 6
2θ = 41.93°, d = 2.155 Å, intensity 18
2θ = 51.89°, d = 1.762 Å, intensity 8
2θ = 52.01°, d = 1.758 Å, intensity 30
2θ = 60.73°, d = 1.525 Å, intensity 5
2θ = 60.86°, d = 1.522 Å, intensity 6
2θ = 68.91°, d = 1.363 Å, intensity 15

Structure:
a b c (Å): 10.573 10.573 10.573
angles (deg): 33.47 33.47 33.47
Element x y z (fractional)
Ba  0.119  0.119  0.119
Ba  0.370  0.370  0.370
Ba  0.630  0.630  0.630
Ba  0.881  0.881  0.881
Na  0.500  0.500  0.500
In  0.245  0.245  0.245
In  0.755  0.755  0.755
Hg  0.000  0.000  0.000

=====

Starting from a cell relaxed with PBE, the powder diffractogram of LiHg6F12 was simulated for copper Kα.
Peak positions follow from Bragg's law for the DFT cell and can differ from measured ones.

Principal peaks in the range 2θ from 10° to 80°, in order of rising 2θ:
2θ = 17.14°, d = 5.173 Å, intensity 28
2θ = 27.62°, d = 3.230 Å, intensity 35
2θ = 27.91°, d = 3.197 Å, intensity 100
2θ = 32.25°, d = 2.776 Å, intensity 45
2θ = 32.69°, d = 2.740 Å, intensity 13
2θ = 46.07°, d = 1.970 Å, intensity 33
2θ = 46.44°, d = 1.955 Å, intensity 29
2θ = 54.56°, d = 1.682 Å, intensity 16
2θ = 54.89°, d = 1.673 Å, intensity 26
2θ = 55.06°, d = 1.668 Å, intensity 12

Structure:
a b c (Å): 6.790 6.790 6.790
angles (deg): 99.25 99.25 99.25
Element x y z (fractional)
Li  0.000  0.000  0.000
Hg  0.131  0.609  0.286
Hg  0.286  0.131  0.609
Hg  0.391  0.714  0.869
Hg  0.609  0.286  0.131
Hg  0.714  0.869  0.391
Hg  0.869  0.391  0.714
F  0.052  0.694  0.931
F  0.069  0.948  0.306
F  0.178  0.437  0.583
F  0.306  0.069  0.948
F  0.417  0.822  0.563
F  0.437  0.583  0.178
F  0.563  0.417  0.822
F  0.583  0.178  0.437
F  0.694  0.931  0.052
F  0.822  0.563  0.417
F  0.931  0.052  0.694
F  0.948  0.306  0.069

=====

Starting from a cell relaxed with PBE, the powder diffractogram of CeAl7Zn5 was simulated for copper Kα.
Peak positions follow from Bragg's law for the DFT cell and can differ from measured ones.

Principal peaks in the range 2θ from 10° to 80°, in order of rising 2θ:
2θ = 13.67°, d = 6.479 Å, intensity 48
2θ = 27.55°, d = 3.237 Å, intensity 95
2θ = 27.63°, d = 3.228 Å, intensity 24
2θ = 33.87°, d = 2.646 Å, intensity 28
2θ = 39.21°, d = 2.297 Å, intensity 44
2θ = 39.39°, d = 2.288 Å, intensity 99
2θ = 39.48°, d = 2.282 Å, intensity 100
2θ = 39.57°, d = 2.278 Å, intensity 76
2θ = 44.39°, d = 2.041 Å, intensity 40
2θ = 56.94°, d = 1.617 Å, intensity 33

Structure:
a b c (Å): 6.992 6.992 6.992
angles (deg): 135.85 98.41 97.83
Element x y z (fractional)
Ce  0.000  0.000  0.000
Al  0.222  0.505  0.717
Al  0.359  0.006  0.353
Al  0.360  0.360  0.000
Al  0.651  0.651  0.000
Al  0.653  0.006  0.647
Al  0.788  0.505  0.283
Al  0.789  0.289  0.500
Zn  0.008  0.005  0.502
Zn  0.008  0.506  0.003
Zn  0.218  0.718  0.500
Zn  0.503  0.005  0.997
Zn  0.503  0.506  0.498

=====

Starting from a cell relaxed with PBE, the powder diffractogram of LiNpAl11 was simulated for copper Kα.
Peak positions follow from Bragg's law for the DFT cell and can differ from measured ones.

Principal peaks in the range 2θ from 10° to 80°, in order of rising 2θ:
2θ = 13.41°, d = 6.605 Å, intensity 93
2θ = 13.90°, d = 6.370 Å, intensity 52
2θ = 19.13°, d = 4.640 Å, intensity 84
2θ = 19.36°, d = 4.585 Å, intensity 67
2θ = 19.48°, d = 4.557 Å, intensity 50
2θ = 27.60°, d = 3.232 Å, intensity 100
2θ = 34.14°, d = 2.626 Å, intensity 54
2θ = 38.25°, d = 2.353 Å, intensity 49
2θ = 39.30°, d = 2.292 Å, intensity 57
2θ = 39.73°, d = 2.268 Å, intensity 45

Structure:
a b c (Å): 6.902 6.902 7.049
angles (deg): 97.73 97.73 134.70
Element x y z (fractional)
Li  0.000  0.000  0.000
Np  0.500  0.500  0.500
Al  0.000  0.500  0.500
Al  0.003  0.790  0.282
Al  0.149  0.503  0.147
Al  0.210  0.997  0.718
Al  0.497  0.851  0.853
Al  0.500  0.000  0.500
Al  0.500  0.500  0.000
Al  0.503  0.149  0.147
Al  0.790  0.003  0.282
Al  0.851  0.497  0.853
Al  0.997  0.210  0.718

=====

Starting from a cell relaxed with PBE, the powder diffractogram of KCaNpBr6 was simulated for copper Kα.
Peak positions follow from Bragg's law for the DFT cell and can differ from measured ones.

Principal peaks in the range 2θ from 10° to 80°, in order of rising 2θ:
2θ = 12.32°, d = 7.184 Å, intensity 43
2θ = 13.53°, d = 6.545 Å, intensity 26
2θ = 14.87°, d = 5.956 Å, intensity 48
2θ = 18.34°, d = 4.838 Å, intensity 42
2θ = 26.66°, d = 3.344 Å, intensity 100
2θ = 34.45°, d = 2.603 Å, intensity 76
2θ = 38.49°, d = 2.339 Å, intensity 18
2θ = 41.39°, d = 2.182 Å, intensity 41
2θ = 44.81°, d = 2.023 Å, intensity 29
2θ = 67.57°, d = 1.386 Å, intensity 22

Structure:
a b c (Å): 7.557 7.557 14.369
angles (deg): 90.00 90.00 120.00
Element x y z (fractional)
K  0.000  0.000  0.000
K  0.000  0.000  0.500
Ca  0.333  0.667  0.250
Ca  0.667  0.333  0.750
Np  0.333  0.667  0.750
Np  0.667  0.333  0.250
Br  0.002  0.367  0.636
Br  0.002  0.634  0.864
Br  0.366  0.367  0.864
Br  0.366  0.998  0.636
Br  0.367  0.002  0.136
Br  0.367  0.366  0.364
Br  0.633  0.634  0.636
Br  0.633  0.998  0.864
Br  0.634  0.002  0.364
Br  0.634  0.633  0.136
Br  0.998  0.366  0.136
Br  0.998  0.633  0.364

=====

Starting from a cell relaxed with PBE, the powder diffractogram of Na2InSn2Cl7 was simulated for copper Kα.
Peak positions follow from Bragg's law for the DFT cell and can differ from measured ones.

Principal peaks in the range 2θ from 10° to 80°, in order of rising 2θ:
2θ = 15.85°, d = 5.592 Å, intensity 100
2θ = 19.19°, d = 4.625 Å, intensity 50
2θ = 19.30°, d = 4.598 Å, intensity 79
2θ = 24.64°, d = 3.613 Å, intensity 69
2θ = 30.75°, d = 2.908 Å, intensity 78
2θ = 31.05°, d = 2.880 Å, intensity 47
2θ = 31.33°, d = 2.855 Å, intensity 79
2θ = 35.10°, d = 2.557 Å, intensity 44
2θ = 38.12°, d = 2.361 Å, intensity 38
2θ = 44.49°, d = 2.036 Å, intensity 71

Structure:
a b c (Å): 12.319 12.319 12.319
angles (deg): 153.20 38.44 152.95
Element x y z (fractional)
Na  0.247  0.000  0.247
Na  0.753  0.000  0.753
In  0.327  0.327  0.000
Sn  0.138  0.516  0.621
Sn  0.895  0.516  0.379
Cl  0.105  0.605  0.500
Cl  0.148  0.029  0.119
Cl  0.240  0.499  0.742
Cl  0.332  0.965  0.368
Cl  0.597  0.965  0.632
Cl  0.757  0.499  0.258
Cl  0.910  0.029  0.881

=====

Starting from a cell relaxed with PBE, the powder diffractogram of Er3As2IrRh9 was simulated for copper Kα.
Peak positions follow from Bragg's law for the DFT cell and can differ from measured ones.

Principal peaks in the range 2θ from 10° to 80°, in order of rising 2θ:
2θ = 10.01°, d = 8.840 Å, intensity 18
2θ = 16.24°, d = 5.459 Å, intensity 17
2θ = 28.31°, d = 3.152 Å, intensity 27
2θ = 34.38°, d = 2.608 Å, intensity 52
2θ = 38.77°, d = 2.322 Å, intensity 100
2θ = 40.83°, d = 2.210 Å, intensity 22
2θ = 45.29°, d = 2.002 Å, intensity 23
2θ = 48.70°, d = 1.870 Å, intensity 26
2θ = 58.57°, d = 1.576 Å, intensity 27
2θ = 73.86°, d = 1.283 Å, intensity 18

Structure:
a b c (Å): 6.304 6.304 8.840
angles (deg): 90.00 90.00 120.00
Element x y z (fractional)
Er  0.000  0.000  0.000
Er  0.333  0.667  0.730
Er  0.667  0.333  0.270
As  0.333  0.667  0.179
As  0.667  0.333  0.821
Ir  0.000  0.000  0.500
Rh  0.000  0.500  0.000
Rh  0.140  0.280  0.271
Rh  0.140  0.860  0.271
Rh  0.280  0.140  0.729
Rh  0.500  0.000  0.000
Rh  0.500  0.500  0.000
Rh  0.720  0.860  0.271
Rh  0.860  0.140  0.729
Rh  0.860  0.720  0.729

=====

Repeat the eighth record exactly.
Starting from a cell relaxed with PBE, the powder diffractogram of Er3As2IrRh9 was simulated for copper Kα.
Peak positions follow from Bragg's law for the DFT cell and can differ from measured ones.

Principal peaks in the range 2θ from 10° to 80°, in order of rising 2θ:
2θ = 10.01°, d = 8.840 Å, intensity 18
2θ = 16.24°, d = 5.459 Å, intensity 17
2θ = 28.31°, d = 3.152 Å, intensity 27
2θ = 34.38°, d = 2.608 Å, intensity 52
2θ = 38.77°, d = 2.322 Å, intensity 100
2θ = 40.83°, d = 2.210 Å, intensity 22
2θ = 45.29°, d = 2.002 Å, intensity 23
2θ = 48.70°, d = 1.870 Å, intensity 26
2θ = 58.57°, d = 1.576 Å, intensity 27
2θ = 73.86°, d = 1.283 Å, intensity 18

Structure:
a b c (Å): 6.304 6.304 8.840
angles (deg): 90.00 90.00 120.00
Element x y z (fractional)
Er  0.000  0.000  0.000
Er  0.333  0.667  0.730
Er  0.667  0.333  0.270
As  0.333  0.667  0.179
As  0.667  0.333  0.821
Ir  0.000  0.000  0.500
Rh  0.000  0.500  0.000
Rh  0.140  0.280  0.271
Rh  0.140  0.860  0.271
Rh  0.280  0.140  0.729
Rh  0.500  0.000  0.000
Rh  0.500  0.500  0.000
Rh  0.720  0.860  0.271
Rh  0.860  0.140  0.729
Rh  0.860  0.720  0.729